(1)
Starting from a structure optimized by DFT (PBE), the X-ray powder pattern of PmTmSbO2 was computed for CuKα.

Structure:
a = 3.8816 Å, b = 3.8816 Å, c = 13.4696 Å
α = 90.00°, β = 90.00°, γ = 90.00°
Positions (direct):
Pm  0.0000  0.0000  0.0000
Pm  0.5000  0.5000  0.5000
Tm  0.0000  0.0000  0.3308
Tm  0.5000  0.5000  0.8308
Sb  0.0000  0.0000  0.6670
Sb  0.5000  0.5000  0.1670
O  0.0000  0.5000  0.4078
O  0.0000  0.5000  0.9078
O  0.5000  0.0000  0.4078
O  0.5000  0.0000  0.9078

The 10 most intense peaks (2θ = 10–80°), low angle first:
Position (°2θ)  I_rel
30.4  100
32.6  35
40.2  10
46.8  17
52.7  24
56.9  34
63.3  11
67.0  10
76.6  7
77.8  6

(2)
Starting from a structure optimized by DFT (PBE), the X-ray powder pattern of SrTl2ReO6 was computed for CuKα.

Structure:
a = 6.3458 Å, b = 6.3458 Å, c = 6.3494 Å
α = 90.00°, β = 90.00°, γ = 120.00°
Positions (direct):
Sr  0.0000  0.0000  0.0000
Tl  0.3333  0.6667  0.5018
Tl  0.6667  0.3333  0.4982
Re  0.0000  0.0000  0.5000
O  0.1393  0.2785  0.6800
O  0.1393  0.8607  0.6800
O  0.2785  0.1393  0.3200
O  0.7215  0.8607  0.6800
O  0.8607  0.1393  0.3200
O  0.8607  0.7215  0.3200

The 10 most intense peaks (2θ = 10–80°), low angle first:
Position (°2θ)  I_rel
13.9  93
16.1  10
28.1  100
31.5  65
40.2  68
49.8  16
51.9  35
58.1  41
60.1  12
65.8  30

(3)
Starting from a structure optimized by DFT (PBE), the X-ray powder pattern of Er4HCS2 was computed for CuKα.

Structure:
a = 6.3259 Å, b = 3.7139 Å, c = 6.4851 Å
α = 90.00°, β = 107.80°, γ = 90.00°
Positions (direct):
Er  0.2316  0.0000  0.2120
Er  0.2353  0.5000  0.7639
Er  0.7647  0.5000  0.2361
Er  0.7684  0.0000  0.7880
H  0.5000  0.0000  0.0000
C  0.0000  0.5000  0.0000
S  0.0000  0.0000  0.5000
S  0.5000  0.5000  0.5000

The 10 most intense peaks (2θ = 10–80°), low angle first:
Position (°2θ)  I_rel
28.9  32
29.6  100
33.9  75
34.7  34
48.2  12
48.8  22
49.1  14
49.7  25
58.0  18
61.5  13